Entry 1:
For Ac2Tl3CdS6, a structure optimized by DFT (PBE) gives the simulated XRD peak list in this record (Cu Kα (weighted mean of Kα1 and Kα2)).

```
data_Ac2Tl3CdS6
_chemical_formula_sum 'Ac4 Tl6 Cd2 S12'
_cell_length_a 7.475
_cell_length_b 12.733
_cell_length_c 7.684
_cell_angle_alpha 90.00
_cell_angle_beta 109.58
_cell_angle_gamma 90.00
_space_group_name_H-M_alt 'C 1 2/m 1'
_space_group_IT_number 12
_space_group_name_Hall '-C 2y'
loop_
_atom_site_label
_atom_site_fract_x
_atom_site_fract_y
_atom_site_fract_z
Ac1 0.000 0.167 0.000
Tl1 0.000 0.000 0.500
Tl2 0.000 0.333 0.500
Cd1 0.000 0.500 0.000
S1 0.231 0.345 0.212
S2 0.243 0.000 0.233
```

Largest 12 diffraction maxima, most intense first, 2θ from 5° to 70°:
- (1 3 1), 29.34°, I = 100.0
- (1 3 -1), 25.44°, I = 70.6
- (2 0 -2), 28.84°, I = 52.9
- (0 0 2), 24.59°, I = 39.9
- (1 3 -3), 41.16°, I = 39.0
- (3 3 -1), 42.05°, I = 37.9
- (2 0 0), 25.29°, I = 35.8
- (2 6 -2), 52.27°, I = 19.8
- (2 0 2), 41.33°, I = 19.1
- (0 6 0), 42.60°, I = 18.1
- (0 6 4), 68.07°, I = 16.6
- (1 3 3), 48.77°, I = 14.3


Entry 2:
For Ac2TmCdS6, a structure optimized by DFT (PBE) gives the simulated XRD peak list in this record (Cu Kα (weighted mean of Kα1 and Kα2)).

```
data_Ac2TmCdS6
_chemical_formula_sum 'Ac4 Tm2 Cd2 S12'
_cell_length_a 6.869
_cell_length_b 7.632
_cell_length_c 11.694
_cell_angle_alpha 90.00
_cell_angle_beta 123.52
_cell_angle_gamma 90.00
_space_group_name_H-M_alt 'P 1 21/c 1'
_space_group_IT_number 14
_space_group_name_Hall '-P 2ybc'
loop_
_atom_site_label
_atom_site_fract_x
_atom_site_fract_y
_atom_site_fract_z
Ac1 0.207 0.099 0.245
Tm1 0.500 0.000 0.000
Cd1 0.000 0.000 0.500
S1 0.124 0.180 0.942
S2 0.266 0.692 0.939
S3 0.378 0.042 0.745
```

Largest 12 diffraction maxima, most intense first, 2θ from 5° to 70°:
- (1 1 -3), 25.67°, I = 100.0
- (1 1 1), 24.86°, I = 99.7
- (2 0 -2), 25.97°, I = 49.2
- (2 0 2), 44.66°, I = 40.4
- (0 2 1), 25.06°, I = 37.6
- (0 0 4), 36.88°, I = 37.0
- (1 1 0), 19.38°, I = 33.3
- (1 1 -2), 19.89°, I = 31.9
- (0 2 0), 23.31°, I = 28.3
- (2 2 -2), 35.17°, I = 27.7
- (1 3 -1), 37.71°, I = 26.9
- (0 2 3), 36.31°, I = 26.8


Entry 3:
For AcTlCdSe3, a structure optimized by DFT (PBE) gives the simulated XRD peak list in this record (Cu Kα (weighted mean of Kα1 and Kα2)).

```
data_AcTlCdSe3
_chemical_formula_sum 'Ac2 Tl2 Cd2 Se6'
_cell_length_a 9.287
_cell_length_b 4.519
_cell_length_c 10.217
_cell_angle_alpha 90.00
_cell_angle_beta 101.26
_cell_angle_gamma 90.00
_space_group_name_H-M_alt 'P 1 21/m 1'
_space_group_IT_number 11
_space_group_name_Hall '-P 2yb'
loop_
_atom_site_label
_atom_site_fract_x
_atom_site_fract_y
_atom_site_fract_z
Ac1 0.164 0.250 0.155
Tl1 0.312 0.750 0.804
Cd1 0.419 0.750 0.394
Se1 0.065 0.250 0.847
Se2 0.293 0.250 0.475
Se3 0.390 0.750 0.130
```

Largest 12 diffraction maxima, most intense first, 2θ from 5° to 70°:
- (2 1 0), 27.81°, I = 100.0
- (2 1 -1), 28.02°, I = 98.6
- (2 1 -4), 42.64°, I = 65.4
- (0 0 3), 26.69°, I = 59.8
- (1 0 -1), 11.79°, I = 42.2
- (0 2 0), 39.90°, I = 41.2
- (2 1 2), 35.25°, I = 39.4
- (0 0 1), 8.83°, I = 33.6
- (0 1 2), 26.56°, I = 32.3
- (0 2 3), 48.65°, I = 28.0
- (2 0 -2), 23.70°, I = 26.8
- (4 0 -1), 38.81°, I = 26.3


Entry 4:
For Ac3CdSi, a structure optimized by DFT (PBE) gives the simulated XRD peak list in this record (Cu Kα (weighted mean of Kα1 and Kα2)).

```
data_Ac3CdSi
_chemical_formula_sum 'Ac6 Cd2 Si2'
_cell_length_a 4.736
_cell_length_b 7.843
_cell_length_c 10.049
_cell_angle_alpha 90.00
_cell_angle_beta 90.00
_cell_angle_gamma 90.00
_space_group_name_H-M_alt 'P m m n'
_space_group_IT_number 59
loop_
_space_group_symop_operation_xyz
'x,y,z'
'-x,-y,-z'
'-x+1/2,-y+1/2,z'
'x+1/2,y+1/2,-z'
'x+1/2,-y,-z'
'-x+1/2,y,z'
'-x,y+1/2,-z'
'x,-y+1/2,z'
loop_
_atom_site_label
_atom_site_fract_x
_atom_site_fract_y
_atom_site_fract_z
Ac1 0.250 0.011 0.160
Ac2 0.250 0.250 0.579
Cd1 0.250 0.750 0.659
Si1 0.250 0.250 0.894
```

Largest 12 diffraction maxima, most intense first, 2θ from 5° to 70°:
- (1 2 1), 30.91°, I = 100.0
- (1 0 2), 25.85°, I = 97.7
- (0 2 1), 24.36°, I = 56.3
- (0 2 3), 35.24°, I = 27.5
- (2 0 0), 38.00°, I = 27.0
- (1 4 2), 53.79°, I = 25.8
- (1 2 4), 47.04°, I = 24.0
- (2 2 1), 45.66°, I = 21.8
- (2 2 3), 52.79°, I = 17.6
- (0 4 0), 46.30°, I = 14.9
- (1 2 3), 40.20°, I = 14.0
- (2 4 0), 61.39°, I = 13.9